Record 1
For Tb7InAg4, a structure optimized by DFT (GGA-PBE) gives the theoretical powder X-ray diffraction pattern in this record (Cu Kα).
No peak broadening, texture or thermal motion is included.

Most intense lines, 10° ≤ 2θ ≤ 80°, most intense first:
2θ = 31.31°, rel. 100; 2θ = 35.49°, rel. 56; 2θ = 31.43°, rel. 36; 2θ = 44.98°, rel. 26; 2θ = 33.54°, rel. 23; 2θ = 32.46°, rel. 21

Cell and atoms:
```
data_Tb7InAg4
_space_group_name_H-M_alt 'P 1'
_space_group_IT_number 1
_cell_length_a 7.773
_cell_length_b 7.773
_cell_length_c 9.167
_cell_angle_alpha 118.24
_cell_angle_beta 118.24
_cell_angle_gamma 43.09
loop_
_space_group_symop_operation_xyz
'x,y,z'
loop_
_atom_site_label
_atom_site_fract_x
_atom_site_fract_y
_atom_site_fract_z
_atom_site_occupancy
Tb1 0.000 0.000 0.000 1
Tb2 0.224 0.224 0.685 1
Tb3 0.320 0.320 0.121 1
Tb4 0.423 0.423 0.592 1
Tb5 0.577 0.577 0.408 1
Tb6 0.680 0.680 0.879 1
Tb7 0.776 0.776 0.315 1
In1 0.500 0.500 0.000 1
Ag1 0.025 0.025 0.685 1
Ag2 0.190 0.190 0.338 1
Ag3 0.810 0.810 0.662 1
Ag4 0.975 0.975 0.315 1
```


Record 2
For Er5GeBi4, a structure optimized by DFT (GGA-PBE) gives the theoretical powder X-ray diffraction pattern in this record (Cu Kα).
No peak broadening, texture or thermal motion is included.

Most intense lines, 10° ≤ 2θ ≤ 80°, most intense first:
2θ = 28.80°, rel. 100; 2θ = 41.18°, rel. 76; 2θ = 67.56°, rel. 33; 2θ = 51.02°, rel. 26; 2θ = 75.05°, rel. 24; 2θ = 59.64°, rel. 12

Cell and atoms:
```
data_Er5GeBi4
_space_group_name_H-M_alt 'P 1'
_space_group_IT_number 1
_cell_length_a 7.592
_cell_length_b 7.592
_cell_length_c 7.592
_cell_angle_alpha 99.62
_cell_angle_beta 99.62
_cell_angle_gamma 131.75
loop_
_space_group_symop_operation_xyz
'x,y,z'
loop_
_atom_site_label
_atom_site_fract_x
_atom_site_fract_y
_atom_site_fract_z
_atom_site_occupancy
Er1 0.000 0.000 0.000 1
Er2 0.220 0.402 0.622 1
Er3 0.402 0.780 0.183 1
Er4 0.598 0.220 0.817 1
Er5 0.780 0.598 0.378 1
Ge1 0.500 0.500 0.000 1
Bi1 0.092 0.695 0.788 1
Bi2 0.305 0.092 0.397 1
Bi3 0.695 0.908 0.603 1
Bi4 0.908 0.305 0.212 1
```


Record 3
For Y3Tm5S8, a structure optimized by DFT (GGA-PBE) gives the theoretical powder X-ray diffraction pattern in this record (Cu Kα).
No peak broadening, texture or thermal motion is included.

Most intense lines, 10° ≤ 2θ ≤ 80°, most intense first:
2θ = 32.71°, rel. 100; 2θ = 28.23°, rel. 72; 2θ = 46.94°, rel. 71; 2θ = 55.68°, rel. 35; 2θ = 58.41°, rel. 18; 2θ = 78.00°, rel. 16

Cell and atoms:
```
data_Y3Tm5S8
_space_group_name_H-M_alt 'P 1'
_space_group_IT_number 1
_cell_length_a 7.749
_cell_length_b 7.749
_cell_length_c 7.749
_cell_angle_alpha 59.91
_cell_angle_beta 59.91
_cell_angle_gamma 59.91
loop_
_space_group_symop_operation_xyz
'x,y,z'
loop_
_atom_site_label
_atom_site_fract_x
_atom_site_fract_y
_atom_site_fract_z
_atom_site_occupancy
Y1 0.000 0.500 0.500 1
Y2 0.500 0.000 0.500 1
Y3 0.500 0.500 0.000 1
Tm1 0.000 0.000 0.000 1
Tm2 0.000 0.000 0.500 1
Tm3 0.000 0.500 0.000 1
Tm4 0.500 0.000 0.000 1
Tm5 0.500 0.500 0.500 1
S1 0.245 0.750 0.750 1
S2 0.247 0.247 0.247 1
S3 0.250 0.250 0.755 1
S4 0.250 0.755 0.250 1
S5 0.750 0.245 0.750 1
S6 0.750 0.750 0.245 1
S7 0.753 0.753 0.753 1
S8 0.755 0.250 0.250 1
```


Record 4
For ThZrBe17, a structure optimized by DFT (GGA-PBE) gives the theoretical powder X-ray diffraction pattern in this record (Cu Kα).
No peak broadening, texture or thermal motion is included.

Most intense lines, 10° ≤ 2θ ≤ 80°, most intense first:
2θ = 23.06°, rel. 100; 2θ = 33.25°, rel. 94; 2θ = 15.41°, rel. 92; 2θ = 20.59°, rel. 46; 2θ = 47.43°, rel. 44; 2θ = 69.08°, rel. 32

Cell and atoms:
```
data_ThZrBe17
_space_group_name_H-M_alt 'P 1'
_space_group_IT_number 1
_cell_length_a 5.833
_cell_length_b 5.833
_cell_length_c 5.833
_cell_angle_alpha 82.80
_cell_angle_beta 82.80
_cell_angle_gamma 82.80
loop_
_space_group_symop_operation_xyz
'x,y,z'
loop_
_atom_site_label
_atom_site_fract_x
_atom_site_fract_y
_atom_site_fract_z
_atom_site_occupancy
Th1 0.000 0.000 0.000 1
Zr1 0.675 0.675 0.675 1
Be1 0.060 0.342 0.615 1
Be2 0.060 0.615 0.342 1
Be3 0.183 0.674 0.674 1
Be4 0.248 0.248 0.248 1
Be5 0.342 0.060 0.615 1
Be6 0.342 0.615 0.060 1
Be7 0.344 0.344 0.837 1
Be8 0.344 0.837 0.344 1
Be9 0.436 0.436 0.436 1
Be10 0.499 0.998 0.998 1
Be11 0.615 0.060 0.342 1
Be12 0.615 0.342 0.060 1
Be13 0.674 0.183 0.674 1
Be14 0.674 0.674 0.183 1
Be15 0.837 0.344 0.344 1
Be16 0.998 0.499 0.998 1
Be17 0.998 0.998 0.499 1
```


Record 5
For DyC3N6, a structure optimized by DFT (GGA-PBE) gives the theoretical powder X-ray diffraction pattern in this record (Cu Kα).
No peak broadening, texture or thermal motion is included.

Most intense lines, 10° ≤ 2θ ≤ 80°, most intense first:
2θ = 15.75°, rel. 100; 2θ = 34.13°, rel. 33; 2θ = 25.46°, rel. 27; 2θ = 31.81°, rel. 26; 2θ = 30.08°, rel. 26; 2θ = 41.18°, rel. 23

Cell and atoms:
```
data_DyC3N6
_space_group_name_H-M_alt 'P 1'
_space_group_IT_number 1
_cell_length_a 6.615
_cell_length_b 6.615
_cell_length_c 6.615
_cell_angle_alpha 116.52
_cell_angle_beta 116.52
_cell_angle_gamma 116.52
loop_
_space_group_symop_operation_xyz
'x,y,z'
loop_
_atom_site_label
_atom_site_fract_x
_atom_site_fract_y
_atom_site_fract_z
_atom_site_occupancy
Dy1 0.000 0.000 0.000 1
C1 0.259 0.708 0.708 1
C2 0.708 0.259 0.708 1
C3 0.708 0.708 0.259 1
N1 0.206 0.838 0.838 1
N2 0.326 0.587 0.587 1
N3 0.587 0.326 0.587 1
N4 0.587 0.587 0.326 1
N5 0.838 0.206 0.838 1
N6 0.838 0.838 0.206 1
```


Record 6
For GdMgP2, a structure optimized by DFT (GGA-PBE) gives the theoretical powder X-ray diffraction pattern in this record (Cu Kα).
No peak broadening, texture or thermal motion is included.

Most intense lines, 10° ≤ 2θ ≤ 80°, most intense first:
2θ = 32.30°, rel. 100; 2θ = 14.64°, rel. 57; 2θ = 25.92°, rel. 51; 2θ = 44.86°, rel. 44; 2θ = 27.31°, rel. 36; 2θ = 47.77°, rel. 32

Cell and atoms:
```
data_GdMgP2
_space_group_name_H-M_alt 'P 1'
_space_group_IT_number 1
_cell_length_a 4.042
_cell_length_b 4.042
_cell_length_c 18.152
_cell_angle_alpha 90.00
_cell_angle_beta 90.00
_cell_angle_gamma 120.00
loop_
_space_group_symop_operation_xyz
'x,y,z'
loop_
_atom_site_label
_atom_site_fract_x
_atom_site_fract_y
_atom_site_fract_z
_atom_site_occupancy
Gd1 0.000 0.000 0.000 1
Gd2 0.333 0.667 0.667 1
Gd3 0.667 0.333 0.333 1
Mg1 0.000 0.000 0.500 1
Mg2 0.333 0.667 0.167 1
Mg3 0.667 0.333 0.833 1
P1 0.000 0.000 0.246 1
P2 0.000 0.000 0.754 1
P3 0.333 0.667 0.421 1
P4 0.333 0.667 0.913 1
P5 0.667 0.333 0.087 1
P6 0.667 0.333 0.579 1
```


Record 7
For HoSb2Rh5, a structure optimized by DFT (GGA-PBE) gives the theoretical powder X-ray diffraction pattern in this record (Cu Kα).
No peak broadening, texture or thermal motion is included.

Most intense lines, 10° ≤ 2θ ≤ 80°, most intense first:
2θ = 35.14°, rel. 100; 2θ = 42.34°, rel. 82; 2θ = 34.48°, rel. 70; 2θ = 65.30°, rel. 46; 2θ = 31.30°, rel. 44; 2θ = 47.25°, rel. 37

Cell and atoms:
```
data_HoSb2Rh5
_space_group_name_H-M_alt 'P 1'
_space_group_IT_number 1
_cell_length_a 3.847
_cell_length_b 7.214
_cell_length_c 10.591
_cell_angle_alpha 90.00
_cell_angle_beta 90.00
_cell_angle_gamma 90.00
loop_
_space_group_symop_operation_xyz
'x,y,z'
loop_
_atom_site_label
_atom_site_fract_x
_atom_site_fract_y
_atom_site_fract_z
_atom_site_occupancy
Ho1 0.000 0.000 0.000 1
Ho2 0.500 0.500 0.500 1
Sb1 0.000 0.500 0.245 1
Sb2 0.000 0.500 0.755 1
Sb3 0.500 0.000 0.255 1
Sb4 0.500 0.000 0.745 1
Rh1 0.000 0.199 0.368 1
Rh2 0.000 0.199 0.632 1
Rh3 0.000 0.500 0.000 1
Rh4 0.000 0.801 0.368 1
Rh5 0.000 0.801 0.632 1
Rh6 0.500 0.000 0.500 1
Rh7 0.500 0.301 0.132 1
Rh8 0.500 0.301 0.868 1
Rh9 0.500 0.699 0.132 1
Rh10 0.500 0.699 0.868 1
```


Record 8
For TcO, a structure optimized by DFT (GGA-PBE) gives the theoretical powder X-ray diffraction pattern in this record (Cu Kα).
No peak broadening, texture or thermal motion is included.

Most intense lines, 10° ≤ 2θ ≤ 80°, most intense first:
2θ = 10.79°, rel. 100; 2θ = 41.98°, rel. 25; 2θ = 38.42°, rel. 24; 2θ = 46.24°, rel. 17; 2θ = 32.76°, rel. 16; 2θ = 21.67°, rel. 14

Cell and atoms:
```
data_TcO
_space_group_name_H-M_alt 'P 1'
_space_group_IT_number 1
_cell_length_a 4.767
_cell_length_b 2.751
_cell_length_c 8.386
_cell_angle_alpha 90.00
_cell_angle_beta 102.01
_cell_angle_gamma 90.00
loop_
_space_group_symop_operation_xyz
'x,y,z'
loop_
_atom_site_label
_atom_site_fract_x
_atom_site_fract_y
_atom_site_fract_z
_atom_site_occupancy
Tc1 0.213 0.000 0.149 1
Tc2 0.287 0.500 0.851 1
Tc3 0.713 0.500 0.149 1
Tc4 0.787 0.000 0.851 1
O1 0.103 0.500 0.301 1
O2 0.397 0.000 0.699 1
O3 0.603 0.000 0.301 1
O4 0.897 0.500 0.699 1
```